# 1
Computed XRD peak list
Compound: Pm4Tm
Radiation: Cu Kα (weighted mean of Kα1 and Kα2)
Structure: DFT lattice parameters and positions (GGA-PBE)
Kinematic intensities with the Lorentz-polarization factor, no thermal factor.

Principal peaks in the range 2θ = 5–70°, most intense first:
(hkl)  2θ/deg  intensity
2 0 1  30.26  100
1 1 3  35.11  67
2 2 1  60.00  43
0 0 5  30.36  33
0 2 0  50.46  32
1 1 -7  50.59  16

Cell: 6.2678 3.6184 14.8639 Å, 90.00 98.01 90.00°
Space group C2/m (No. 12)
Symmetry-distinct sites (fractional):
Pm 0.1013 0.0000 0.3047
Pm 0.2011 0.5000 0.1014
Tm 0.0000 0.5000 0.5000

# 2
Computed XRD peak list
Compound: PmTm3
Radiation: Cu Kα (weighted mean of Kα1 and Kα2)
Structure: DFT lattice parameters and positions (GGA-PBE)
Kinematic intensities with the Lorentz-polarization factor, no thermal factor.

Principal peaks in the range 2θ = 5–70°, most intense first:
(hkl)  2θ/deg  intensity
1 1 1  31.04  100
2 0 0  36.00  51
3 1 1  61.65  43
2 2 0  51.83  36
2 2 2  64.72  12

Cell: 4.9896 4.9896 4.9896 Å, 90.00 90.00 90.00°
Space group Pm-3m (No. 221)
Symmetry-distinct sites (fractional):
Pm 0.0000 0.0000 0.0000
Tm 0.0000 0.5000 0.5000

> Number 2 is which compound?

PmTm3